Ba2AsOsS6: simulated powder diffractogram (copper Kα), based on DFT lattice parameters and positions (GGA-PBE).
Kinematic intensities with the Lorentz-polarization factor, no thermal factor.

Structural model:
a b c (Å): 6.8783 6.8783 6.8783
angles (deg): 120.08 120.08 89.86
Atoms (fractional coordinates):
Ba  0.2500  0.7500  0.5000
Ba  0.7500  0.2500  0.5000
As  0.0000  0.0000  0.0000
Os  0.5000  0.5000  0.0000
S  0.2558  0.2558  0.0000
S  0.2556  0.2556  0.5113
S  0.2556  0.7444  0.0000
S  0.7444  0.2556  0.0000
S  0.7442  0.7442  0.0000
S  0.7444  0.7444  0.4887

The 10 most intense peaks (2θ from 10° to 80°), by angle:
d = 5.614 Å, I 13.2; d = 3.438 Å, I 100.0; d = 2.807 Å, I 7.5; d = 2.431 Å, I 48.9; d = 1.985 Å, I 44.2; d = 1.719 Å, I 32.9; d = 1.536 Å, I 13.2; d = 1.403 Å, I 11.1; d = 1.300 Å, I 15.2; d = 1.298 Å, I 7.6